1.
Calculated X-ray powder pattern
Compound: LuGaNi
Radiation: copper Kα
Structure: the GGA-PBE geometry in the Materials Project
Lines closer than 0.1° are merged.

Top 10 peaks for 10° ≤ 2θ ≤ 90°, in order of rising 2θ:
- 2θ 24.3, d = 3.656 Å, I = 26
- 2θ 35.4, d = 2.535 Å, I = 51
- 2θ 36.4, d = 2.467 Å, I = 100
- 2θ 36.8, d = 2.444 Å, I = 36
- 2θ 40.1, d = 2.249 Å, I = 17
- 2θ 42.5, d = 2.126 Å, I = 51
- 2θ 43.5, d = 2.082 Å, I = 36
- 2θ 57.5, d = 1.603 Å, I = 29
- 2θ 71.1, d = 1.327 Å, I = 20
- 2θ 73.2, d = 1.293 Å, I = 13

Structural model:
Cell: 6.6871 4.2506 7.1648 Å, 90.00 90.00 90.00°
Space group Pnma (No. 62)
One atom of each set of equivalent atoms:
Lu1 0.0181 0.2500 0.1976
Ga1 0.1834 0.2500 0.5802
Ni1 0.2068 0.7500 0.4091

2.
Calculated X-ray powder pattern
Compound: Re2H4O9
Radiation: copper Kα
Structure: the GGA-PBE geometry in the Materials Project
Lines closer than 0.1° are merged.

Top 10 peaks for 10° ≤ 2θ ≤ 90°, in order of rising 2θ:
- 2θ 18.9, d = 4.699 Å, I = 100
- 2θ 19.5, d = 4.563 Å, I = 91
- 2θ 20.8, d = 4.273 Å, I = 19
- 2θ 23.0, d = 3.870 Å, I = 92
- 2θ 25.1, d = 3.543 Å, I = 66
- 2θ 27.2, d = 3.274 Å, I = 86
- 2θ 38.3, d = 2.351 Å, I = 18
- 2θ 43.3, d = 2.089 Å, I = 27
- 2θ 44.1, d = 2.052 Å, I = 23
- 2θ 56.2, d = 1.637 Å, I = 22

Structural model:
Cell: 4.9697 9.1264 8.7840 Å, 90.00 103.36 90.00°
Space group P2_1 (No. 4)
One atom of each set of equivalent atoms:
Re1 0.0602 0.0000 0.0539
Re2 0.3674 0.5032 0.3852
H1 0.0514 0.1571 0.6017
H2 0.2175 0.8307 0.6872
H3 0.4786 0.2634 0.2108
H4 0.4810 0.2041 0.7863
O1 0.1288 0.3622 0.3853
O2 0.1427 0.5223 0.1420
O3 0.1539 0.4904 0.8166
O4 0.1564 0.6534 0.4397
O5 0.2561 0.8397 0.0701
O6 0.2808 0.1513 0.0999
O7 0.3883 0.9791 0.4432
O8 0.3961 0.1447 0.6936
O9 0.4191 0.8486 0.7285

3.
Calculated X-ray powder pattern
Compound: Sr4SnN4
Radiation: copper Kα
Structure: the GGA-PBE geometry in the Materials Project
Lines closer than 0.1° are merged.

Top 10 peaks for 10° ≤ 2θ ≤ 90°, in order of rising 2θ:
- 2θ 29.2, d = 3.055 Å, I = 48
- 2θ 29.5, d = 3.023 Å, I = 45
- 2θ 29.9, d = 2.989 Å, I = 100
- 2θ 33.2, d = 2.696 Å, I = 41
- 2θ 33.6, d = 2.666 Å, I = 41
- 2θ 36.2, d = 2.482 Å, I = 33
- 2θ 48.2, d = 1.888 Å, I = 15
- 2θ 50.6, d = 1.804 Å, I = 25
- 2θ 57.8, d = 1.596 Å, I = 17
- 2θ 62.1, d = 1.494 Å, I = 13

Structural model:
Cell: 6.4723 6.5340 9.6390 Å, 71.38 79.42 67.90°
Space group P-1 (No. 2)
One atom of each set of equivalent atoms:
Sr1 0.2294 0.4228 0.3239
Sr2 0.2322 0.9567 0.1062
Sr3 0.2584 0.7698 0.5187
Sr4 0.2710 0.5116 0.9305
Sn1 0.2849 0.1517 0.7433
N1 0.0203 0.2998 0.8916
N2 0.1077 0.1673 0.5738
N3 0.4863 0.3701 0.6943
N4 0.4935 0.8208 0.8671

4.
Calculated X-ray powder pattern
Compound: SnSb3P4O16
Radiation: copper Kα
Structure: the GGA-PBE geometry in the Materials Project
Lines closer than 0.1° are merged.

Top 10 peaks for 10° ≤ 2θ ≤ 90°, in order of rising 2θ:
- 2θ 17.6, d = 5.040 Å, I = 66
- 2θ 23.9, d = 3.724 Å, I = 47
- 2θ 24.1, d = 3.686 Å, I = 45
- 2θ 25.3, d = 3.520 Å, I = 100
- 2θ 28.3, d = 3.149 Å, I = 22
- 2θ 28.8, d = 3.103 Å, I = 25
- 2θ 34.7, d = 2.588 Å, I = 21
- 2θ 37.9, d = 2.373 Å, I = 22
- 2θ 46.6, d = 1.948 Å, I = 20
- 2θ 56.3, d = 1.635 Å, I = 19

Structural model:
Cell: 4.8323 7.0399 10.0821 Å, 90.00 91.05 90.00°
Space group Pm (No. 6)
One atom of each set of equivalent atoms:
Sn1 0.0000 0.0000 0.0000
Sb1 0.2961 0.0000 0.4945
Sb2 0.5028 0.5000 0.0905
Sb3 0.7946 0.5000 0.5864
P1 0.0582 0.5000 0.8928
P2 0.2208 0.5000 0.3897
P3 0.5655 0.0000 0.1937
P4 0.7379 0.0000 0.6921
O1 0.0536 0.0000 0.6764
O2 0.0856 0.3297 0.4696
O3 0.1328 0.5000 0.7465
O4 0.1423 0.5000 0.2426
O5 0.1984 0.3284 0.9716
O6 0.2447 0.0000 0.1803
O7 0.5394 0.5000 0.4041
O8 0.5915 0.1703 0.6154
O9 0.6401 0.0000 0.3416
O10 0.6733 0.0000 0.8410
O11 0.6961 0.1724 0.1165
O12 0.7407 0.5000 0.9075

5.
Calculated X-ray powder pattern
Compound: PPb3
Radiation: copper Kα
Structure: the GGA-PBE geometry in the Materials Project
Lines closer than 0.1° are merged.

Top 10 peaks for 10° ≤ 2θ ≤ 90°, in order of rising 2θ:
- 2θ 21.8, d = 4.081 Å, I = 26
- 2θ 26.6, d = 3.350 Å, I = 9
- 2θ 30.8, d = 2.901 Å, I = 23
- 2θ 31.2, d = 2.871 Å, I = 29
- 2θ 34.6, d = 2.589 Å, I = 100
- 2θ 44.4, d = 2.041 Å, I = 17
- 2θ 54.8, d = 1.675 Å, I = 18
- 2θ 57.7, d = 1.598 Å, I = 24
- 2θ 64.4, d = 1.447 Å, I = 23
- 2θ 66.5, d = 1.406 Å, I = 15

Structural model:
Cell: 6.6994 6.6994 5.7423 Å, 90.00 90.00 120.00°
Space group P6_3/mmc (No. 194)
One atom of each set of equivalent atoms:
P1 0.3333 0.6667 0.2500
Pb1 0.1713 0.3425 0.7500

6.
Calculated X-ray powder pattern
Compound: Gd3Zn
Radiation: copper Kα
Structure: the GGA-PBE geometry in the Materials Project
Lines closer than 0.1° are merged.

Top 10 peaks for 10° ≤ 2θ ≤ 90°, in order of rising 2θ:
- 2θ 18.4, d = 4.821 Å, I = 7
- 2θ 26.1, d = 3.409 Å, I = 6
- 2θ 32.2, d = 2.783 Å, I = 100
- 2θ 37.3, d = 2.410 Å, I = 50
- 2θ 41.9, d = 2.156 Å, I = 4
- 2θ 53.8, d = 1.704 Å, I = 35
- 2θ 64.1, d = 1.454 Å, I = 41
- 2θ 67.3, d = 1.392 Å, I = 12
- 2θ 79.5, d = 1.205 Å, I = 6
- 2θ 88.4, d = 1.106 Å, I = 17

Structural model:
Cell: 4.8210 4.8210 4.8210 Å, 90.00 90.00 90.00°
Space group Pm-3m (No. 221)
One atom of each set of equivalent atoms:
Gd1 0.0000 0.0000 0.5000
Zn1 0.5000 0.5000 0.5000

7.
Calculated X-ray powder pattern
Compound: Nd4S7
Radiation: copper Kα
Structure: the GGA-PBE geometry in the Materials Project
Lines closer than 0.1° are merged.

Top 10 peaks for 10° ≤ 2θ ≤ 90°, in order of rising 2θ:
- 2θ 22.0, d = 4.042 Å, I = 34
- 2θ 25.0, d = 3.560 Å, I = 100
- 2θ 31.9, d = 2.804 Å, I = 46
- 2θ 33.8, d = 2.649 Å, I = 15
- 2θ 39.1, d = 2.304 Å, I = 63
- 2θ 40.5, d = 2.229 Å, I = 46
- 2θ 45.8, d = 1.983 Å, I = 29
- 2θ 52.9, d = 1.732 Å, I = 27
- 2θ 62.7, d = 1.481 Å, I = 25
- 2θ 80.1, d = 1.198 Å, I = 15

Structural model:
Cell: 5.6075 5.6075 8.0847 Å, 90.00 90.00 90.00°
Space group P-42m (No. 111)
One atom of each set of equivalent atoms:
Nd1 0.2465 0.2465 0.2722
S1 0.0000 0.0000 0.0000
S2 0.0000 0.5000 0.0000
S3 0.2530 0.2530 0.6357

8.
Calculated X-ray powder pattern
Compound: SrPd2
Radiation: copper Kα
Structure: the GGA-PBE geometry in the Materials Project
Lines closer than 0.1° are merged.

Top 10 peaks for 10° ≤ 2θ ≤ 90°, in order of rising 2θ:
- 2θ 19.4, d = 4.587 Å, I = 14
- 2θ 31.9, d = 2.809 Å, I = 21
- 2θ 37.5, d = 2.395 Å, I = 100
- 2θ 39.3, d = 2.293 Å, I = 47
- 2θ 45.7, d = 1.986 Å, I = 8
- 2θ 56.8, d = 1.622 Å, I = 8
- 2θ 60.6, d = 1.529 Å, I = 32
- 2θ 66.6, d = 1.404 Å, I = 29
- 2θ 79.0, d = 1.211 Å, I = 11
- 2θ 80.1, d = 1.198 Å, I = 17

Structural model:
Cell: 7.9443 7.9443 7.9443 Å, 90.00 90.00 90.00°
Space group Fd-3m (No. 227, origin choice 2)
One atom of each set of equivalent atoms:
Sr1 0.1250 0.1250 0.1250
Pd1 0.0000 0.0000 0.5000

9.
Calculated X-ray powder pattern
Compound: TiCr4N4
Radiation: copper Kα
Structure: the GGA-PBE geometry in the Materials Project
Lines closer than 0.1° are merged.

Top 10 peaks for 10° ≤ 2θ ≤ 90°, in order of rising 2θ:
- 2θ 37.1, d = 2.422 Å, I = 48
- 2θ 37.4, d = 2.404 Å, I = 41
- 2θ 38.6, d = 2.332 Å, I = 100
- 2θ 44.0, d = 2.058 Å, I = 47
- 2θ 44.1, d = 2.054 Å, I = 47
- 2θ 44.2, d = 2.049 Å, I = 54
- 2θ 64.0, d = 1.455 Å, I = 32
- 2θ 64.3, d = 1.449 Å, I = 14
- 2θ 64.5, d = 1.445 Å, I = 13
- 2θ 65.9, d = 1.418 Å, I = 15

Structural model:
Cell: 4.9781 4.9878 7.8491 Å, 83.88 71.94 69.37°
Space group P-1 (No. 2)
One atom of each set of equivalent atoms:
Ti1 0.1349 0.2474 0.2239
Cr1 0.0600 0.7443 0.3842
Cr2 0.2606 0.7400 0.9991
Cr3 0.3560 0.2405 0.7626
Cr4 0.4481 0.7490 0.6133
N1 0.0901 0.0027 0.8186
N2 0.2123 0.5004 0.5820
N3 0.2948 0.9949 0.4133
N4 0.3448 0.3386 0.9856

10.
Calculated X-ray powder pattern
Compound: SmGdIn2
Radiation: copper Kα
Structure: the GGA-PBE geometry in the Materials Project
Lines closer than 0.1° are merged.

Top 10 peaks for 10° ≤ 2θ ≤ 90°, in order of rising 2θ:
- 2θ 23.3, d = 3.821 Å, I = 2
- 2θ 33.2, d = 2.702 Å, I = 100
- 2θ 40.9, d = 2.206 Å, I = 1
- 2θ 47.6, d = 1.910 Å, I = 18
- 2θ 53.6, d = 1.709 Å, I = 1
- 2θ 59.2, d = 1.560 Å, I = 37
- 2θ 69.6, d = 1.351 Å, I = 11
- 2θ 74.5, d = 1.274 Å, I = 1
- 2θ 79.3, d = 1.208 Å, I = 16
- 2θ 88.7, d = 1.103 Å, I = 4

Structural model:
Cell: 7.6418 7.6418 7.6418 Å, 90.00 90.00 90.00°
Space group Fm-3m (No. 225)
One atom of each set of equivalent atoms:
Sm1 0.0000 0.0000 0.0000
Gd1 0.0000 0.0000 0.5000
In1 0.2500 0.2500 0.2500